Diffraction record for Li2Nb2Ga2OsPd. The X-ray diffraction stick pattern is computed, not measured: it uses a cell relaxed with GGA-PBE and Cu Kα (λ = 1.5418 Å).
Neutral-atom scattering factors, no anomalous dispersion.

Largest 10 diffraction maxima, in order of rising 2θ, 10° ≤ 2θ ≤ 90°:
| h k l | 2θ (°) | d (Å) | intensity |
| --- | --- | --- | --- |
| 0 0 1 | 14.32 | 6.186 | 3.7 |
| 1 0 1 | 24.97 | 3.566 | 50.9 |
| 2 0 0 | 41.34 | 2.184 | 100.0 |
| 2 1 1 | 48.91 | 1.862 | 24.8 |
| 0 0 4 | 59.80 | 1.547 | 5.5 |
| 2 2 0 | 59.95 | 1.543 | 11.0 |
| 3 0 1 | 65.92 | 1.417 | 10.1 |
| 3 1 2 | 75.39 | 1.261 | 33.0 |
| 3 2 1 | 80.90 | 1.188 | 5.8 |
| 2 2 4 | 89.78 | 1.092 | 7.2 |

Cell and atoms:
```
data_Li2Nb2Ga2OsPd
_symmetry_space_group_name_H-M 'P -4 m 2'
_symmetry_Int_Tables_number 115
_cell_length_a 4.3644
_cell_length_b 4.3644
_cell_length_c 6.1861
_cell_angle_alpha 90.00
_cell_angle_beta 90.00
_cell_angle_gamma 90.00
loop_
_symmetry_equiv_pos_as_xyz
'x,y,z'
'y,-x,-z'
'-x,-y,z'
'-y,x,-z'
'-x,y,z'
'-y,-x,-z'
'x,-y,z'
'y,x,-z'
loop_
_atom_site_label
_atom_site_type_symbol
_atom_site_fract_x
_atom_site_fract_y
_atom_site_fract_z
_atom_site_occupancy
Li1 Li 0.0000 0.0000 0.0000 1
Li2 Li 0.5000 0.5000 0.5000 1
Nb1 Nb 0.0000 0.5000 0.2453 1
Ga1 Ga 0.0000 0.5000 0.7515 1
Os1 Os 0.5000 0.5000 0.0000 1
Pd1 Pd 0.0000 0.0000 0.5000 1
```

Diffraction record for ZnHBr. The X-ray diffraction stick pattern is computed, not measured: it uses a cell relaxed with GGA-PBE and Cu Kα (λ = 1.5418 Å).
Neutral-atom scattering factors, no anomalous dispersion.

Largest 10 diffraction maxima, in order of rising 2θ, 10° ≤ 2θ ≤ 90°:
| h k l | 2θ (°) | d (Å) | intensity |
| --- | --- | --- | --- |
| 0 2 1 | 21.97 | 4.046 | 100.0 |
| 1 3 0 | 29.78 | 3.000 | 47.8 |
| 1 1 1 | 30.11 | 2.968 | 19.8 |
| 0 0 2 | 36.63 | 2.453 | 12.0 |
| 1 5 1 | 43.48 | 2.081 | 48.2 |
| 1 1 2 | 44.20 | 2.049 | 15.8 |
| 2 0 0 | 47.09 | 1.930 | 11.7 |
| 1 3 2 | 47.90 | 1.899 | 13.9 |
| 1 7 0 | 50.54 | 1.806 | 13.5 |
| 2 2 1 | 52.54 | 1.742 | 18.2 |

Cell and atoms:
```
data_ZnHBr
_symmetry_space_group_name_H-M 'C m c 21'
_symmetry_Int_Tables_number 36
_cell_length_a 3.8597
_cell_length_b 14.3041
_cell_length_c 4.9065
_cell_angle_alpha 90.00
_cell_angle_beta 90.00
_cell_angle_gamma 90.00
loop_
_symmetry_equiv_pos_as_xyz
'x,y,z'
'-x,-y,z+1/2'
'-x,y,z'
'x,-y,z+1/2'
'x+1/2,y+1/2,z'
'-x+1/2,-y+1/2,z+1/2'
'-x+1/2,y+1/2,z'
'x+1/2,-y+1/2,z+1/2'
loop_
_atom_site_label
_atom_site_type_symbol
_atom_site_fract_x
_atom_site_fract_y
_atom_site_fract_z
_atom_site_occupancy
Zn1 Zn 0.0000 0.0560 0.0000 1
H1 H 0.0000 0.0466 0.3384 1
Br1 Br 0.0000 0.3473 0.3738 1
```

Diffraction record for Ga2CuCl8. The X-ray diffraction stick pattern is computed, not measured: it uses a cell relaxed with GGA-PBE and Cu Kα (λ = 1.5418 Å).
Neutral-atom scattering factors, no anomalous dispersion.

Largest 10 diffraction maxima, in order of rising 2θ, 10° ≤ 2θ ≤ 90°:
| h k l | 2θ (°) | d (Å) | intensity |
| --- | --- | --- | --- |
| 1 0 0 | 13.56 | 6.531 | 75.3 |
| 1 1 0 | 18.07 | 4.910 | 100.0 |
| 0 1 2 | 18.68 | 4.751 | 45.0 |
| 1 0 -2 | 19.10 | 4.647 | 66.4 |
| 1 1 -2 | 22.55 | 3.943 | 73.3 |
| 1 2 -2 | 30.78 | 2.905 | 55.3 |
| 2 0 2 | 31.87 | 2.808 | 51.0 |
| 1 2 -4 | 39.68 | 2.271 | 69.7 |
| 3 2 0 | 48.44 | 1.879 | 51.0 |
| 0 4 0 | 48.92 | 1.862 | 43.4 |

Cell and atoms:
```
data_Ga2CuCl8
_symmetry_space_group_name_H-M 'P 1 21/c 1'
_symmetry_Int_Tables_number 14
_cell_length_a 6.5469
_cell_length_b 7.4444
_cell_length_c 12.3714
_cell_angle_alpha 90.00
_cell_angle_beta 93.94
_cell_angle_gamma 90.00
loop_
_symmetry_equiv_pos_as_xyz
'x,y,z'
'-x,-y,-z'
'-x,y+1/2,-z+1/2'
'x,-y+1/2,z+1/2'
loop_
_atom_site_label
_atom_site_type_symbol
_atom_site_fract_x
_atom_site_fract_y
_atom_site_fract_z
_atom_site_occupancy
Ga1 Ga 0.1939 0.2340 0.1864 1
Cu1 Cu 0.0000 0.0000 0.5000 1
Cl1 Cl 0.1200 0.7394 0.9033 1
Cl2 Cl 0.1679 0.2265 0.8581 1
Cl3 Cl 0.3019 0.0089 0.6093 1
Cl4 Cl 0.3626 0.0069 0.1368 1
```

Diffraction record for Pa2GaPt3. The X-ray diffraction stick pattern is computed, not measured: it uses a cell relaxed with GGA-PBE and Cu Kα (λ = 1.5418 Å).
Neutral-atom scattering factors, no anomalous dispersion.

Largest 10 diffraction maxima, in order of rising 2θ, 10° ≤ 2θ ≤ 90°:
| h k l | 2θ (°) | d (Å) | intensity |
| --- | --- | --- | --- |
| 0 2 2 | 22.44 | 3.962 | 4.5 |
| 1 3 1 | 32.98 | 2.716 | 7.0 |
| 2 0 4 | 35.88 | 2.503 | 100.0 |
| 0 2 6 | 39.39 | 2.287 | 78.0 |
| 2 4 4 | 54.34 | 1.688 | 30.4 |
| 4 0 0 | 57.06 | 1.614 | 8.7 |
| 2 2 10 | 69.12 | 1.359 | 19.8 |
| 2 6 2 | 69.23 | 1.357 | 9.6 |
| 4 2 6 | 71.53 | 1.319 | 34.7 |
| 0 4 12 | 84.71 | 1.144 | 5.6 |

Cell and atoms:
```
data_Pa2GaPt3
_symmetry_space_group_name_H-M 'F m m m'
_symmetry_Int_Tables_number 69
_symmetry_space_group_name_Hall '-F 2 2'
_cell_length_a 6.4564
_cell_length_b 9.1381
_cell_length_c 15.8656
_cell_angle_alpha 90.00
_cell_angle_beta 90.00
_cell_angle_gamma 90.00
loop_
_atom_site_label
_atom_site_type_symbol
_atom_site_fract_x
_atom_site_fract_y
_atom_site_fract_z
_atom_site_occupancy
Pa1 Pa 0.2282 0.0000 0.0000 1
Pa2 Pa 0.2500 0.2500 0.2500 1
Ga1 Ga 0.0000 0.0000 0.3343 1
Pt1 Pt 0.0000 0.0000 0.1729 1
Pt2 Pt 0.0000 0.2369 0.4135 1
```

Diffraction record for TmS2ICl. The X-ray diffraction stick pattern is computed, not measured: it uses a cell relaxed with GGA-PBE and Cu Kα (λ = 1.5418 Å).
Neutral-atom scattering factors, no anomalous dispersion.

Largest 10 diffraction maxima, in order of rising 2θ, 10° ≤ 2θ ≤ 90°:
| h k l | 2θ (°) | d (Å) | intensity |
| --- | --- | --- | --- |
| 0 0 1 | 12.89 | 6.869 | 100.0 |
| 0 1 -1 | 14.41 | 6.147 | 32.5 |
| 1 -1 0 | 14.63 | 6.055 | 90.1 |
| 0 1 0 | 15.18 | 5.837 | 42.7 |
| 1 0 1 | 21.20 | 4.190 | 30.4 |
| 1 -2 0 | 26.59 | 3.352 | 37.7 |
| 1 1 -2 | 27.29 | 3.268 | 75.8 |
| 2 -2 2 | 33.97 | 2.639 | 25.8 |
| 1 1 -3 | 36.36 | 2.471 | 27.4 |
| 1 -3 1 | 37.04 | 2.427 | 26.0 |

Cell and atoms:
```
data_TmS2ICl
_symmetry_space_group_name_H-M 'P -1'
_symmetry_Int_Tables_number 2
_cell_length_a 7.3850
_cell_length_b 7.4133
_cell_length_c 7.8448
_cell_angle_alpha 115.15
_cell_angle_beta 91.17
_cell_angle_gamma 115.97
loop_
_symmetry_equiv_pos_as_xyz
'x,y,z'
'-x,-y,-z'
loop_
_atom_site_label
_atom_site_type_symbol
_atom_site_fract_x
_atom_site_fract_y
_atom_site_fract_z
_atom_site_occupancy
Tm1 Tm 0.1543 0.3330 0.9999 1
S1 S 0.0457 0.1441 0.2491 1
S2 S 0.2079 0.9624 0.9436 1
I1 I 0.4114 0.3864 0.7146 1
Cl1 Cl 0.1137 0.6765 0.2406 1
```

Diffraction record for GdErAg2Se4. The X-ray diffraction stick pattern is computed, not measured: it uses a cell relaxed with GGA-PBE and Cu Kα (λ = 1.5418 Å).
Neutral-atom scattering factors, no anomalous dispersion.

Largest 10 diffraction maxima, in order of rising 2θ, 10° ≤ 2θ ≤ 90°:
| h k l | 2θ (°) | d (Å) | intensity |
| --- | --- | --- | --- |
| 1 1 1 | 24.47 | 3.637 | 42.5 |
| 2 2 0 | 26.38 | 3.379 | 30.9 |
| 0 2 1 | 27.85 | 3.203 | 69.3 |
| 2 2 1 | 33.69 | 2.661 | 57.3 |
| 1 3 1 | 36.29 | 2.476 | 100.0 |
| 4 0 0 | 37.65 | 2.389 | 88.5 |
| 3 3 1 | 45.42 | 1.997 | 54.4 |
| 0 2 2 | 46.16 | 1.967 | 48.1 |
| 4 4 0 | 54.30 | 1.690 | 22.6 |
| 4 2 2 | 61.02 | 1.518 | 27.0 |

Cell and atoms:
```
data_GdErAg2Se4
_symmetry_space_group_name_H-M 'C m m 2'
_symmetry_Int_Tables_number 35
_cell_length_a 9.5482
_cell_length_b 9.5669
_cell_length_c 4.3156
_cell_angle_alpha 90.00
_cell_angle_beta 90.00
_cell_angle_gamma 90.00
loop_
_symmetry_equiv_pos_as_xyz
'x,y,z'
'-x,-y,z'
'-x,y,z'
'x,-y,z'
'x+1/2,y+1/2,z'
'-x+1/2,-y+1/2,z'
'-x+1/2,y+1/2,z'
'x+1/2,-y+1/2,z'
loop_
_atom_site_label
_atom_site_type_symbol
_atom_site_fract_x
_atom_site_fract_y
_atom_site_fract_z
_atom_site_occupancy
Gd1 Gd 0.0000 0.0000 0.0000 1
Er1 Er 0.0000 0.5000 0.5922 1
Ag1 Ag 0.2500 0.2500 0.7962 1
Se1 Se 0.0000 0.3008 0.0795 1
Se2 Se 0.2049 0.0000 0.5125 1
```